Diffraction record for Na3MgGeP3O12. The XRD peak list is theoretical, not measured: it uses a DFT-relaxed cell (GGA-PBE, the Materials Project) and Cu Kα.

The 12 most intense peaks (10 to 80 degrees two-theta), in order of rising 2θ:
two_theta  I_rel
14.3  92.0
20.2  98.3
23.8  88.6
23.9  42.1
28.9  35.0
31.4  52.1
32.2  77.4
32.3  65.9
32.4  51.4
35.4  100.0
48.5  27.1
55.4  27.6

Structural model:
```
40
Lattice="7.599 -4.389 0.000 7.599 4.389 0.000 -5.001 0.000 7.149" Properties=species:S:1:pos:R:3 pbc="T T T"
Na 5.099 3.858 3.574
Na 6.227 2.018 0.487
Na 8.709 0.938 2.305
Na 3.727 -2.018 4.061
Na 6.209 -0.938 5.879
Na 7.599 -3.858 0.000
Mg 4.114 2.188 6.692
Mg 6.615 -2.188 3.118
Ge 3.206 2.132 1.636
Ge 0.705 -2.132 5.210
P -1.379 0.371 6.055
P 1.122 -0.371 2.481
P 5.451 0.982 3.809
P 7.951 -0.982 0.235
P 11.921 0.867 0.912
P 9.421 -0.867 4.487
O -0.111 0.447 2.753
O 2.418 3.005 5.787
O 4.055 1.277 0.123
O -2.611 -0.447 6.327
O 2.393 0.527 2.192
O 4.920 1.705 2.505
O 8.406 3.075 1.306
O -0.107 -0.527 5.767
O 4.632 1.375 4.999
O 1.554 -1.277 3.698
O 6.932 1.599 3.950
O 7.976 0.527 0.063
O 10.515 1.340 0.704
O 5.475 -0.527 3.638
O 2.420 -1.705 6.079
O 7.132 -1.375 1.424
O 7.833 1.134 6.765
O 9.458 0.732 4.555
O 4.919 -3.005 2.213
O 9.433 -1.599 0.375
O 8.014 -1.340 4.279
O 11.959 -0.732 0.981
O 10.333 -1.134 3.191
O 5.905 -3.075 4.881
```